1.
Starting from a cell relaxed with GGA-PBE, the X-ray powder pattern of Tb2Pr2Ga3 was computed for CuKα.
Kinematic intensities with the Lorentz-polarization factor, no thermal factor.

The 10 most intense peaks (2θ from 10° to 90°), by angle:
hkl 0 2 1, 2θ = 24.49°, d 3.635, I = 31
hkl 0 0 2, 2θ = 25.27°, d 3.524, I = 48
hkl 1 2 1, 2θ = 30.88°, d 2.895, I = 67
hkl 1 2 0, 2θ = 31.73°, d 2.820, I = 60
hkl 1 0 -2, 2θ = 33.91°, d 2.643, I = 100
hkl 0 2 -1, 2θ = 34.36°, d 2.610, I = 30
hkl 0 2 3, 2θ = 36.60°, d 2.455, I = 57
hkl 0 3 1, 2θ = 37.29°, d 2.411, I = 34
hkl 1 0 2, 2θ = 38.03°, d 2.366, I = 32
hkl -1 2 1, 2θ = 39.55°, d 2.279, I = 32

```
data_Tb2Pr2Ga3
_chemical_formula_sum 'Tb2 Pr2 Ga3'
_cell_length_a 3.6627
_cell_length_b 7.5084
_cell_length_c 7.7388
_cell_angle_alpha 66.28
_cell_angle_beta 89.99
_cell_angle_gamma 75.93
_space_group_name_H-M_alt 'P -1'
_space_group_IT_number 2
_space_group_name_Hall '-P 1'
loop_
_atom_site_label
_atom_site_type_symbol
_atom_site_fract_x
_atom_site_fract_y
_atom_site_fract_z
Tb1 Tb 0.1005 0.2976 0.2848
Pr1 Pr 0.1817 0.1358 0.7701
Ga1 Ga 0.4191 0.6624 0.0391
Ga2 Ga 0.5000 0.5000 0.5000
```

=====

2.
Starting from a cell relaxed with GGA-PBE, the X-ray powder pattern of Tb2PrZn2Ga2 was computed for CuKα.
Kinematic intensities with the Lorentz-polarization factor, no thermal factor.

The 10 most intense peaks (2θ from 10° to 90°), by angle:
hkl 1 0 1, 2θ = 23.13°, d 3.846, I = 41
hkl 1 0 7, 2θ = 32.03°, d 2.795, I = 87
hkl 0 1 8, 2θ = 34.38°, d 2.609, I = 100
hkl 1 1 0, 2θ = 40.23°, d 2.241, I = 99
hkl 0 2 7, 2θ = 52.32°, d 1.749, I = 22
hkl 2 0 8, 2θ = 53.93°, d 1.700, I = 27
hkl 1 1 15, 2θ = 64.75°, d 1.440, I = 37
hkl 2 1 7, 2θ = 68.00°, d 1.379, I = 20
hkl 1 2 8, 2θ = 69.38°, d 1.355, I = 26
hkl 3 0 0, 2θ = 73.13°, d 1.294, I = 17

```
data_Tb2PrZn2Ga2
_chemical_formula_sum 'Tb6 Pr3 Zn6 Ga6'
_cell_length_a 4.4830
_cell_length_b 4.4830
_cell_length_c 28.1794
_cell_angle_alpha 90.00
_cell_angle_beta 90.00
_cell_angle_gamma 120.00
_space_group_name_H-M_alt 'R -3 m'
_space_group_IT_number 166
_space_group_name_Hall '-R 3 2"'
loop_
_atom_site_label
_atom_site_type_symbol
_atom_site_fract_x
_atom_site_fract_y
_atom_site_fract_z
Tb1 Tb 0.0000 0.0000 0.1282
Pr1 Pr 0.0000 0.0000 0.0000
Zn1 Zn 0.0000 0.0000 0.4040
Ga1 Ga 0.0000 0.0000 0.2583
```

=====

3.
Starting from a cell relaxed with GGA-PBE, the X-ray powder pattern of Pr2Ga5Tc was computed for CuKα.
Kinematic intensities with the Lorentz-polarization factor, no thermal factor.

The 10 most intense peaks (2θ from 10° to 90°), by angle:
hkl 1 1 2, 2θ = 28.26°, d 3.158, I = 71
hkl 2 1 1, 2θ = 33.72°, d 2.658, I = 22
hkl 2 0 2, 2θ = 34.99°, d 2.565, I = 100
hkl 0 0 4, 2θ = 39.70°, d 2.270, I = 36
hkl 2 2 0, 2θ = 41.07°, d 2.198, I = 58
hkl 3 0 1, 2θ = 44.88°, d 2.020, I = 17
hkl 3 1 2, 2θ = 50.60°, d 1.804, I = 20
hkl 2 2 4, 2θ = 58.45°, d 1.579, I = 39
hkl 4 0 0, 2θ = 59.48°, d 1.554, I = 16
hkl 4 2 2, 2θ = 70.91°, d 1.329, I = 16

```
data_Pr2Ga5Tc
_chemical_formula_sum 'Pr4 Ga10 Tc2'
_cell_length_a 6.2159
_cell_length_b 6.2159
_cell_length_c 9.0804
_cell_angle_alpha 90.00
_cell_angle_beta 90.00
_cell_angle_gamma 90.00
_space_group_name_H-M_alt 'I 4 m m'
_space_group_IT_number 107
_space_group_name_Hall 'I 4 -2'
loop_
_atom_site_label
_atom_site_type_symbol
_atom_site_fract_x
_atom_site_fract_y
_atom_site_fract_z
Pr1 Pr 0.0000 0.5000 0.0000
Ga1 Ga 0.0000 0.0000 0.0246
Ga2 Ga 0.2144 0.2144 0.2455
Tc1 Tc 0.0000 0.0000 0.7526
```

=====

4.
Starting from a cell relaxed with GGA-PBE, the X-ray powder pattern of PrGa4Tc was computed for CuKα.
Kinematic intensities with the Lorentz-polarization factor, no thermal factor.

The 10 most intense peaks (2θ from 10° to 90°), by angle:
hkl 1 2 1, 2θ = 32.88°, d 2.724, I = 23
hkl 1 1 4, 2θ = 33.02°, d 2.713, I = 50
hkl 1 0 5, 2θ = 35.33°, d 2.540, I = 100
hkl 0 2 4, 2θ = 36.56°, d 2.458, I = 23
hkl 1 2 3, 2θ = 37.28°, d 2.412, I = 70
hkl 2 1 1, 2θ = 38.49°, d 2.339, I = 18
hkl 0 3 1, 2θ = 41.39°, d 2.182, I = 19
hkl 0 1 7, 2θ = 45.36°, d 1.999, I = 19
hkl 2 2 2, 2θ = 46.78°, d 1.942, I = 53
hkl 2 1 5, 2θ = 49.43°, d 1.844, I = 21

```
data_PrGa4Tc
_chemical_formula_sum 'Pr4 Ga16 Tc4'
_cell_length_a 5.0753
_cell_length_b 6.6182
_cell_length_c 14.6817
_cell_angle_alpha 90.00
_cell_angle_beta 90.00
_cell_angle_gamma 90.00
_space_group_name_H-M_alt 'I m m m'
_space_group_IT_number 71
_space_group_name_Hall '-I 2 2'
loop_
_atom_site_label
_atom_site_type_symbol
_atom_site_fract_x
_atom_site_fract_y
_atom_site_fract_z
Pr1 Pr 0.0000 0.0000 0.2128
Ga1 Ga 0.0000 0.1758 0.0000
Ga2 Ga 0.0000 0.2759 0.3931
Ga3 Ga 0.0000 0.5000 0.1572
Tc1 Tc 0.2397 0.0000 0.5000
```

=====

5.
Starting from a cell relaxed with GGA-PBE, the X-ray powder pattern of PrGaTe2 was computed for CuKα.
Kinematic intensities with the Lorentz-polarization factor, no thermal factor.

The 10 most intense peaks (2θ from 10° to 90°), by angle:
hkl 0 1 2, 2θ = 29.29°, d 3.049, I = 100
hkl 1 1 -2, 2θ = 29.34°, d 3.044, I = 75
hkl 2 0 0, 2θ = 30.33°, d 2.947, I = 56
hkl 1 1 2, 2θ = 36.47°, d 2.464, I = 70
hkl 2 1 -2, 2θ = 36.59°, d 2.456, I = 46
hkl 0 2 0, 2θ = 40.12°, d 2.248, I = 42
hkl 1 0 -4, 2θ = 40.79°, d 2.212, I = 39
hkl 2 2 0, 2θ = 51.11°, d 1.787, I = 26
hkl 1 2 -4, 2θ = 58.55°, d 1.577, I = 33
hkl 1 1 -6, 2θ = 67.28°, d 1.392, I = 24

```
data_PrGaTe2
_chemical_formula_sum 'Pr2 Ga2 Te4'
_cell_length_a 6.2905
_cell_length_b 4.4952
_cell_length_c 8.8482
_cell_angle_alpha 90.00
_cell_angle_beta 110.37
_cell_angle_gamma 90.00
_space_group_name_H-M_alt 'P 1 21/m 1'
_space_group_IT_number 11
_space_group_name_Hall '-P 2yb'
loop_
_atom_site_label
_atom_site_type_symbol
_atom_site_fract_x
_atom_site_fract_y
_atom_site_fract_z
Pr1 Pr 0.1326 0.2500 0.2914
Ga1 Ga 0.2617 0.2500 0.8124
Te1 Te 0.2725 0.7500 0.0713
Te2 Te 0.2959 0.7500 0.5758
```

=====

6.
Starting from a cell relaxed with GGA-PBE, the X-ray powder pattern of Pr3GaTe4 was computed for CuKα.
Kinematic intensities with the Lorentz-polarization factor, no thermal factor.

The 10 most intense peaks (2θ from 10° to 90°), by angle:
hkl 0 2 0, 2θ = 18.51°, d 4.792, I = 45
hkl 2 1 0, 2θ = 19.22°, d 4.617, I = 100
hkl 0 0 2, 2θ = 28.11°, d 3.174, I = 75
hkl 2 3 0, 2θ = 32.78°, d 2.732, I = 97
hkl 4 0 0, 2θ = 34.03°, d 2.635, I = 44
hkl 2 1 2, 2θ = 34.28°, d 2.616, I = 47
hkl 2 3 2, 2θ = 43.72°, d 2.071, I = 87
hkl 4 0 2, 2θ = 44.70°, d 2.027, I = 41
hkl 6 3 2, 2θ = 67.65°, d 1.385, I = 23
hkl 2 3 4, 2θ = 68.36°, d 1.372, I = 23

```
data_Pr3GaTe4
_chemical_formula_sum 'Pr6 Ga2 Te8'
_cell_length_a 10.5383
_cell_length_b 9.5846
_cell_length_c 6.3482
_cell_angle_alpha 90.00
_cell_angle_beta 90.00
_cell_angle_gamma 90.00
_space_group_name_H-M_alt 'P m n 21'
_space_group_IT_number 31
_space_group_name_Hall 'P 2ac -2'
loop_
_atom_site_label
_atom_site_type_symbol
_atom_site_fract_x
_atom_site_fract_y
_atom_site_fract_z
Pr1 Pr 0.0000 0.1785 0.0002
Pr2 Pr 0.2464 0.3362 0.5000
Ga1 Ga 0.0000 0.8375 0.4983
Te1 Te 0.0000 0.1567 0.5002
Te2 Te 0.0000 0.8444 0.9995
Te3 Te 0.2390 0.6636 0.5000
```

=====

7.
Starting from a cell relaxed with GGA-PBE, the X-ray powder pattern of PrTiGa was computed for CuKα.
Kinematic intensities with the Lorentz-polarization factor, no thermal factor.

The 10 most intense peaks (2θ from 10° to 90°), by angle:
hkl 3 0 0, 2θ = 17.88°, d 4.960, I = 17
hkl 0 0 2, 2θ = 31.68°, d 2.824, I = 36
hkl 2 1 1, 2θ = 33.95°, d 2.641, I = 14
hkl 6 0 0, 2θ = 36.22°, d 2.480, I = 16
hkl 3 1 1, 2θ = 36.61°, d 2.454, I = 100
hkl 6 0 2, 2θ = 48.87°, d 1.864, I = 16
hkl 0 2 0, 2θ = 56.43°, d 1.631, I = 19
hkl 8 1 1, 2θ = 59.51°, d 1.553, I = 11
hkl 6 2 0, 2θ = 68.92°, d 1.363, I = 14
hkl 3 0 4, 2θ = 69.16°, d 1.358, I = 15

```
data_PrTiGa
_chemical_formula_sum 'Pr4 Ti4 Ga4'
_cell_length_a 14.8795
_cell_length_b 3.2643
_cell_length_c 5.6439
_cell_angle_alpha 90.00
_cell_angle_beta 90.00
_cell_angle_gamma 90.00
_space_group_name_H-M_alt 'A m m 2'
_space_group_IT_number 38
_space_group_name_Hall 'A 2 -2'
loop_
_atom_site_label
_atom_site_type_symbol
_atom_site_fract_x
_atom_site_fract_y
_atom_site_fract_z
Pr1 Pr 0.1830 0.0000 0.0000
Ti1 Ti 0.3608 0.0000 0.6649
Ga1 Ga 0.0000 0.0000 0.6662
Ga2 Ga 0.5000 0.0000 0.9981
```

=====

8.
Starting from a cell relaxed with GGA-PBE, the X-ray powder pattern of Pr12TlGa5 was computed for CuKα.
Kinematic intensities with the Lorentz-polarization factor, no thermal factor.

The 10 most intense peaks (2θ from 10° to 90°), by angle:
hkl 0 3 1, 2θ = 27.68°, d 3.223, I = 19
hkl 3 1 0, 2θ = 28.09°, d 3.176, I = 19
hkl 2 2 2, 2θ = 29.92°, d 2.986, I = 100
hkl 2 1 3, 2θ = 31.57°, d 2.834, I = 57
hkl 1 3 2, 2θ = 32.43°, d 2.760, I = 50
hkl 0 0 4, 2θ = 32.71°, d 2.737, I = 17
hkl 2 3 1, 2θ = 33.07°, d 2.709, I = 47
hkl 4 0 0, 2θ = 35.79°, d 2.509, I = 30
hkl 2 5 3, 2θ = 55.03°, d 1.669, I = 16
hkl 5 3 2, 2θ = 55.89°, d 1.645, I = 25

```
data_Pr12TlGa5
_chemical_formula_sum 'Pr24 Tl2 Ga10'
_cell_length_a 10.0362
_cell_length_b 10.1159
_cell_length_c 10.9500
_cell_angle_alpha 90.00
_cell_angle_beta 90.00
_cell_angle_gamma 90.00
_space_group_name_H-M_alt 'I m m m'
_space_group_IT_number 71
_space_group_name_Hall '-I 2 2'
loop_
_atom_site_label
_atom_site_type_symbol
_atom_site_fract_x
_atom_site_fract_y
_atom_site_fract_z
Pr1 Pr 0.0000 0.1972 0.2352
Pr2 Pr 0.2054 0.5000 0.1775
Pr3 Pr 0.2251 0.3215 0.5000
Tl1 Tl 0.0000 0.0000 0.5000
Ga1 Ga 0.0000 0.0000 0.0000
Ga2 Ga 0.0000 0.3589 0.0000
Ga3 Ga 0.0000 0.5000 0.3805
```

=====

9.
Starting from a cell relaxed with GGA-PBE, the X-ray powder pattern of Pr3Tl2Ga was computed for CuKα.
Kinematic intensities with the Lorentz-polarization factor, no thermal factor.

The 10 most intense peaks (2θ from 10° to 90°), by angle:
hkl 1 0 2, 2θ = 27.74°, d 3.216, I = 7
hkl 1 0 3, 2θ = 32.57°, d 2.749, I = 100
hkl 1 1 0, 2θ = 33.09°, d 2.707, I = 49
hkl 0 0 6, 2θ = 45.97°, d 1.974, I = 9
hkl 2 0 0, 2θ = 47.49°, d 1.914, I = 18
hkl 1 1 6, 2θ = 57.80°, d 1.595, I = 18
hkl 2 1 3, 2θ = 58.77°, d 1.571, I = 37
hkl 2 0 6, 2θ = 68.24°, d 1.374, I = 11
hkl 3 0 3, 2θ = 78.81°, d 1.214, I = 8
hkl 3 1 0, 2θ = 79.09°, d 1.211, I = 8

```
data_Pr3Tl2Ga
_chemical_formula_sum 'Pr3 Tl2 Ga1'
_cell_length_a 3.8290
_cell_length_b 3.8290
_cell_length_c 11.8465
_cell_angle_alpha 90.00
_cell_angle_beta 90.00
_cell_angle_gamma 90.00
_space_group_name_H-M_alt 'P 4/m m m'
_space_group_IT_number 123
_space_group_name_Hall '-P 4 2'
loop_
_atom_site_label
_atom_site_type_symbol
_atom_site_fract_x
_atom_site_fract_y
_atom_site_fract_z
Pr1 Pr 0.0000 0.0000 0.0000
Pr2 Pr 0.0000 0.0000 0.3473
Tl1 Tl 0.5000 0.5000 0.1724
Ga1 Ga 0.5000 0.5000 0.5000
```

=====

10.
Starting from a cell relaxed with GGA-PBE, the X-ray powder pattern of Pr12TlGa6 was computed for CuKα.
Kinematic intensities with the Lorentz-polarization factor, no thermal factor.

The 10 most intense peaks (2θ from 10° to 90°), by angle:
hkl 3 0 1, 2θ = 26.77°, d 3.330, I = 27
hkl 2 2 2, 2θ = 29.38°, d 3.040, I = 51
hkl 3 1 2, 2θ = 31.79°, d 2.815, I = 100
hkl 4 0 0, 2θ = 34.05°, d 2.633, I = 23
hkl 5 0 1, 2θ = 43.83°, d 2.065, I = 22
hkl 5 3 0, 2θ = 50.53°, d 1.806, I = 30
hkl 5 2 3, 2θ = 53.65°, d 1.708, I = 34
hkl 5 3 4, 2θ = 62.35°, d 1.489, I = 22
hkl 8 2 2, 2θ = 76.80°, d 1.241, I = 14
hkl 7 0 5, 2θ = 78.06°, d 1.224, I = 15

```
data_Pr12TlGa6
_chemical_formula_sum 'Pr24 Tl2 Ga12'
_cell_length_a 10.5314
_cell_length_b 10.5314
_cell_length_c 10.5314
_cell_angle_alpha 90.00
_cell_angle_beta 90.00
_cell_angle_gamma 90.00
_space_group_name_H-M_alt 'I m -3'
_space_group_IT_number 204
_space_group_name_Hall '-I 2 2 3'
loop_
_atom_site_label
_atom_site_type_symbol
_atom_site_fract_x
_atom_site_fract_y
_atom_site_fract_z
Pr1 Pr 0.0000 0.2942 0.1898
Tl1 Tl 0.0000 0.0000 0.0000
Ga1 Ga 0.0000 0.1199 0.5000
```

=====

11.
Starting from a cell relaxed with GGA-PBE, the X-ray powder pattern of Pr3TlGa was computed for CuKα.
Kinematic intensities with the Lorentz-polarization factor, no thermal factor.

The 10 most intense peaks (2θ from 10° to 90°), by angle:
hkl 0 0 2, 2θ = 10.40°, d 8.504, I = 12
hkl 0 2 4, 2θ = 27.84°, d 3.204, I = 28
hkl 1 1 5, 2θ = 30.45°, d 2.936, I = 37
hkl 1 3 1, 2θ = 30.61°, d 2.920, I = 40
hkl 2 0 4, 2θ = 32.53°, d 2.753, I = 100
hkl 0 2 6, 2θ = 36.67°, d 2.450, I = 36
hkl 0 4 0, 2θ = 36.88°, d 2.437, I = 14
hkl 3 3 3, 2θ = 49.73°, d 1.833, I = 19
hkl 1 5 5, 2θ = 55.81°, d 1.647, I = 18
hkl 5 3 1, 2θ = 71.50°, d 1.319, I = 16

```
data_Pr3TlGa
_chemical_formula_sum 'Pr24 Tl8 Ga8'
_cell_length_a 7.2410
_cell_length_b 9.7478
_cell_length_c 17.0084
_cell_angle_alpha 90.00
_cell_angle_beta 90.00
_cell_angle_gamma 90.00
_space_group_name_H-M_alt 'F m m m'
_space_group_IT_number 69
_space_group_name_Hall '-F 2 2'
loop_
_atom_site_label
_atom_site_type_symbol
_atom_site_fract_x
_atom_site_fract_y
_atom_site_fract_z
Pr1 Pr 0.0000 0.0000 0.1909
Pr2 Pr 0.0000 0.1941 0.3974
Tl1 Tl 0.2031 0.0000 0.0000
Ga1 Ga 0.2500 0.2500 0.2500
```

=====

12.
Starting from a cell relaxed with GGA-PBE, the X-ray powder pattern of Pr3Tl2Ga was computed for CuKα.
Kinematic intensities with the Lorentz-polarization factor, no thermal factor.

The 10 most intense peaks (2θ from 10° to 90°), by angle:
hkl 2 0 0, 2θ = 32.41°, d 2.763, I = 26
hkl 0 6 0, 2θ = 32.55°, d 2.751, I = 24
hkl 1 3 1, 2θ = 32.88°, d 2.724, I = 100
hkl 2 6 0, 2θ = 46.60°, d 1.949, I = 18
hkl 0 0 2, 2θ = 47.78°, d 1.903, I = 9
hkl 3 3 1, 2θ = 58.11°, d 1.587, I = 20
hkl 1 9 1, 2θ = 58.29°, d 1.583, I = 17
hkl 2 0 2, 2θ = 58.97°, d 1.566, I = 19
hkl 2 6 2, 2θ = 68.96°, d 1.362, I = 11
hkl 3 9 1, 2θ = 77.65°, d 1.230, I = 8

```
data_Pr3Tl2Ga
_chemical_formula_sum 'Pr6 Tl4 Ga2'
_cell_length_a 5.5251
_cell_length_b 16.5039
_cell_length_c 3.8069
_cell_angle_alpha 90.00
_cell_angle_beta 90.00
_cell_angle_gamma 90.00
_space_group_name_H-M_alt 'P m m n'
_space_group_IT_number 59
loop_
_space_group_symop_operation_xyz
'x,y,z'
'-x,-y,-z'
'-x+1/2,-y+1/2,z'
'x+1/2,y+1/2,-z'
'x+1/2,-y,-z'
'-x+1/2,y,z'
'-x,y+1/2,-z'
'x,-y+1/2,z'
loop_
_atom_site_label
_atom_site_type_symbol
_atom_site_fract_x
_atom_site_fract_y
_atom_site_fract_z
Pr1 Pr 0.2500 0.0942 0.0003
Pr2 Pr 0.2500 0.7500 0.0017
Tl1 Tl 0.2500 0.5771 0.5001
Ga1 Ga 0.2500 0.2500 0.4999
```